(1)
Diffraction record for Sr2CaInHg6. The PXRD pattern is computed, not measured: it uses a GGA-PBE-relaxed structure and λ = 1.5418 Å (Cu Kα).
Intensities are scaled so that the largest is 100.

The 8 most intense peaks (2θ = 5–70°), in order of rising 2θ:
5.657 Å, rel. 27; 3.266 Å, rel. 100; 2.829 Å, rel. 83; 2.530 Å, rel. 15; 2.000 Å, rel. 62; 1.706 Å, rel. 48; 1.633 Å, rel. 22; 1.414 Å, rel. 10

Cell and atoms:
```
Sr2CaInHg6
1.0
0.0000 5.6570 5.6570
5.6570 0.0000 5.6570
5.6570 5.6570 0.0000
Sr Ca In Hg
2 1 1 6
direct
0.2500 0.2500 0.2500
0.7500 0.7500 0.7500
0.0000 0.0000 0.0000
0.5000 0.5000 0.5000
0.2535 0.2535 0.7465
0.2535 0.7465 0.2535
0.2535 0.7465 0.7465
0.7465 0.2535 0.2535
0.7465 0.2535 0.7465
0.7465 0.7465 0.2535
```

---

(2)
Diffraction record for BAsPd3. The PXRD pattern is computed, not measured: it uses a GGA-PBE-relaxed structure and λ = 1.5418 Å (Cu Kα).
Intensities are scaled so that the largest is 100.

The 8 most intense peaks (2θ = 5–70°), in order of rising 2θ:
2.778 Å, rel. 40; 2.759 Å, rel. 23; 2.442 Å, rel. 80; 2.322 Å, rel. 76; 2.307 Å, rel. 100; 2.173 Å, rel. 31; 1.628 Å, rel. 19; 1.379 Å, rel. 17

Cell and atoms:
```
BAsPd3
1.0
-3.4301 3.4787 3.1174
3.4301 -3.4787 3.1174
3.4301 3.4787 -3.1174
B As Pd
2 2 6
direct
0.2019 0.2500 0.4519
0.7981 0.7500 0.5481
0.0546 0.3768 0.1778
0.1990 0.8768 0.8222
0.2018 0.4453 0.8272
0.2018 0.8746 0.2565
0.6181 0.3746 0.1728
0.6181 0.9453 0.7435
0.6429 0.4445 0.6984
0.7461 0.9445 0.3016
```

---

(3)
Diffraction record for Ru3Pt5. The PXRD pattern is computed, not measured: it uses a GGA-PBE-relaxed structure and λ = 1.5418 Å (Cu Kα).
Intensities are scaled so that the largest is 100.

The 8 most intense peaks (2θ = 5–70°), in order of rising 2θ:
2.396 Å, rel. 37; 2.269 Å, rel. 41; 2.123 Å, rel. 49; 2.117 Å, rel. 100; 1.651 Å, rel. 8; 1.646 Å, rel. 15; 1.385 Å, rel. 8; 1.383 Å, rel. 17

Cell and atoms:
```
Ru3Pt5
1.0
5.3053 -4.7870 0.0000
5.3053 4.7870 0.0000
-2.4370 0.0000 4.7383
Ru Pt
6 10
direct
0.0462 0.9538 0.7500
0.1676 0.5875 0.5149
0.4125 0.8324 0.9851
0.5875 0.1676 0.0149
0.8324 0.4125 0.4851
0.9538 0.0462 0.2500
0.0838 0.6697 0.9948
0.2015 0.2898 0.7416
0.2898 0.2015 0.2416
0.3303 0.9162 0.5052
0.4595 0.5405 0.2500
0.5405 0.4595 0.7500
0.6697 0.0838 0.4948
0.7102 0.7985 0.7584
0.7985 0.7102 0.2584
0.9162 0.3303 0.0052
```

---

(4)
Diffraction record for Cs2USe4. The PXRD pattern is computed, not measured: it uses a GGA-PBE-relaxed structure and λ = 1.5418 Å (Cu Kα).
Intensities are scaled so that the largest is 100.

The 8 most intense peaks (2θ = 5–70°), in order of rising 2θ:
8.790 Å, rel. 33; 6.416 Å, rel. 42; 4.464 Å, rel. 49; 3.567 Å, rel. 100; 3.445 Å, rel. 28; 2.930 Å, rel. 46; 2.569 Å, rel. 54; 2.530 Å, rel. 36

Cell and atoms:
```
Cs2USe4
1.0
6.8906 0.0000 0.0000
0.0000 4.2920 0.0000
-3.4205 0.0000 8.7901
Cs U Se
2 1 4
direct
0.1782 0.0000 0.3515
0.8218 0.0000 0.6485
0.5000 0.5000 0.0000
0.2503 0.0000 0.9984
0.3539 0.5000 0.7003
0.6461 0.5000 0.2997
0.7497 0.0000 0.0016
```